This entry pairs a crystal structure of PaBi3Pd with its theoretical PXRD pattern. Radiation: λ = 1.5418 Å (Cu Kα). Structure: a structure optimized by DFT (PBE).
Neutral-atom scattering factors, no anomalous dispersion.

Cell and atoms:
Lattice parameters (Å, degrees): 4.9322 4.4511 12.8360 90.00 90.00 90.00
Space group Amm2 (No. 38)
Inequivalent atoms, fractional coordinates:
Pa: 0.0000 0.0000 0.0000 x2
Bi: 0.0000 0.0000 0.3015 x2
Bi: 0.5000 0.0000 0.5340 x2
Bi: 0.5000 0.0000 0.8066 x2
Pd: 0.0000 0.0000 0.6466 x2

Main lines, most intense first (10 to 90 degrees two-theta):
d (Å)	I (rel.)
2.615	100
3.203	61
2.466	27
2.225	21
1.451	17
1.652	17
1.604	15
1.348	13
1.955	11
1.469	9

=====

This entry pairs a crystal structure of PaBi4Pd15 with its theoretical PXRD pattern. Radiation: λ = 1.5418 Å (Cu Kα). Structure: a structure optimized by DFT (PBE).
Neutral-atom scattering factors, no anomalous dispersion.

Cell and atoms:
Lattice parameters (Å, degrees): 4.1469 4.1469 20.7567 90.00 90.00 90.00
Space group P4/mmm (No. 123)
Inequivalent atoms, fractional coordinates:
Pa: 0.0000 0.0000 0.0000 x1
Bi: 0.0000 0.0000 0.2043 x2
Bi: 0.0000 0.0000 0.4006 x2
Pd: 0.0000 0.5000 0.0947 x4
Pd: 0.0000 0.5000 0.3002 x4
Pd: 0.0000 0.5000 0.5000 x2
Pd: 0.5000 0.5000 0.0000 x1
Pd: 0.5000 0.5000 0.1967 x2
Pd: 0.5000 0.5000 0.3997 x2

Main lines, most intense first (10 to 90 degrees two-theta):
d (Å)	I (rel.)
2.395	100
2.074	49
1.251	37
1.467	32
1.198	11
4.148	11
2.933	9
1.855	5
1.694	4
1.383	3

=====

This entry pairs a crystal structure of PrPu2PaBi5 with its theoretical PXRD pattern. Radiation: λ = 1.5418 Å (Cu Kα). Structure: a structure optimized by DFT (PBE).
Neutral-atom scattering factors, no anomalous dispersion.

Cell and atoms:
Lattice parameters (Å, degrees): 5.6656 5.6656 12.0095 90.00 90.00 90.00
Space group P4/mmm (No. 123)
Inequivalent atoms, fractional coordinates:
Pr: 0.0000 0.0000 0.0000 x1
Pu: 0.5000 0.5000 0.2837 x2
Pa: 0.0000 0.0000 0.5000 x1
Bi: 0.0000 0.0000 0.2515 x2
Bi: 0.0000 0.5000 0.5000 x2
Bi: 0.5000 0.5000 0.0000 x1

Main lines, most intense first (10 to 90 degrees two-theta):
d (Å)	I (rel.)
2.833	100
4.006	53
2.060	50
3.002	35
3.333	29
2.003	28
1.666	26
2.402	24
3.269	18
1.167	17

=====

This entry pairs a crystal structure of Pa3Bi4Pt3 with its theoretical PXRD pattern. Radiation: λ = 1.5418 Å (Cu Kα). Structure: a structure optimized by DFT (PBE).
Neutral-atom scattering factors, no anomalous dispersion.

Cell and atoms:
Lattice parameters (Å, degrees): 9.9797 9.9797 9.9797 90.00 90.00 90.00
Space group I-43d (No. 220)
Inequivalent atoms, fractional coordinates:
Pa: 0.0000 0.2500 0.3750 x12
Bi: 0.0918 0.0918 0.0918 x16
Pt: 0.0000 0.2500 0.8750 x12

Main lines, most intense first (10 to 90 degrees two-theta):
d (Å)	I (rel.)
2.667	100
2.232	35
3.156	16
1.822	16
2.037	14
1.471	12
1.440	10
1.578	9
1.334	9
1.384	8

=====

This entry pairs a crystal structure of PaBiPt with its theoretical PXRD pattern. Radiation: λ = 1.5418 Å (Cu Kα). Structure: a structure optimized by DFT (PBE).
Neutral-atom scattering factors, no anomalous dispersion.

Cell and atoms:
Lattice parameters (Å, degrees): 4.4408 4.4408 4.5114 90.00 90.00 120.00
Space group P3m1 (No. 156)
Inequivalent atoms, fractional coordinates:
Pa: 0.0000 0.0000 0.0000 x1
Bi: 0.6667 0.3333 0.5504 x1
Pt: 0.3333 0.6667 0.2605 x1

Main lines, most intense first (10 to 90 degrees two-theta):
d (Å)	I (rel.)
2.927	100
2.220	49
1.946	29
1.769	24
1.384	22
1.222	13
1.463	12
1.282	9
1.401	7
1.245	6

=====

This entry pairs a crystal structure of PuPa2Bi5 with its theoretical PXRD pattern. Radiation: λ = 1.5418 Å (Cu Kα). Structure: a structure optimized by DFT (PBE).
Neutral-atom scattering factors, no anomalous dispersion.

Cell and atoms:
Lattice parameters (Å, degrees): 8.2511 13.2711 4.5380 90.00 90.00 90.00
Space group Pbam (No. 55)
Inequivalent atoms, fractional coordinates:
Pu: 0.0000 0.0000 0.0000 x2
Pa: 0.1011 0.3192 0.5000 x4
Bi: 0.0000 0.5000 0.0000 x2
Bi: 0.1297 0.7800 0.0000 x4
Bi: 0.2384 0.0751 0.5000 x4

Main lines, most intense first (10 to 90 degrees two-theta):
d (Å)	I (rel.)
2.975	100
2.773	76
3.078	60
2.269	52
2.678	50
2.544	47
1.970	39
3.053	38
2.957	33
1.487	33

=====

This entry pairs a crystal structure of SmPu2PaBi5 with its theoretical PXRD pattern. Radiation: λ = 1.5418 Å (Cu Kα). Structure: a structure optimized by DFT (PBE).
Neutral-atom scattering factors, no anomalous dispersion.

Cell and atoms:
Lattice parameters (Å, degrees): 5.6683 5.6683 11.9071 90.00 90.00 90.00
Space group P4/mmm (No. 123)
Inequivalent atoms, fractional coordinates:
Sm: 0.0000 0.0000 0.0000 x1
Pu: 0.5000 0.5000 0.2849 x2
Pa: 0.0000 0.0000 0.5000 x1
Bi: 0.0000 0.0000 0.2494 x2
Bi: 0.0000 0.5000 0.5000 x2
Bi: 0.5000 0.5000 0.0000 x1

Main lines, most intense first (10 to 90 degrees two-theta):
d (Å)	I (rel.)
2.834	100
4.008	75
2.053	68
2.977	47
2.820	38
2.004	38
3.325	38
1.662	35
2.390	28
3.251	26

=====

This entry pairs a crystal structure of Pa2Bi3Rh with its theoretical PXRD pattern. Radiation: λ = 1.5418 Å (Cu Kα). Structure: a structure optimized by DFT (PBE).
Neutral-atom scattering factors, no anomalous dispersion.

Cell and atoms:
Lattice parameters (Å, degrees): 13.1819 4.5311 10.9337 90.00 90.00 90.00
Space group Pnma (No. 62)
Inequivalent atoms, fractional coordinates:
Pa: 0.0051 0.2500 0.1383 x4
Pa: 0.1695 0.7500 0.5115 x4
Bi: 0.0375 0.2500 0.6490 x4
Bi: 0.1728 0.7500 0.0967 x4
Bi: 0.2484 0.2500 0.3081 x4
Rh: 0.1159 0.2500 0.9178 x4

Main lines, most intense first (10 to 90 degrees two-theta):
d (Å)	I (rel.)
2.732	100
2.776	49
2.266	45
2.665	38
2.589	23
3.372	21
1.578	21
2.822	19
1.400	17
2.304	17

=====

This entry pairs a crystal structure of Pa3Bi4Rh3 with its theoretical PXRD pattern. Radiation: λ = 1.5418 Å (Cu Kα). Structure: a structure optimized by DFT (PBE).
Neutral-atom scattering factors, no anomalous dispersion.

Cell and atoms:
Lattice parameters (Å, degrees): 9.8229 9.8229 9.8229 90.00 90.00 90.00
Space group I-43d (No. 220)
Inequivalent atoms, fractional coordinates:
Pa: 0.0000 0.2500 0.3750 x12
Bi: 0.0884 0.0884 0.0884 x16
Rh: 0.0000 0.2500 0.8750 x12

Main lines, most intense first (10 to 90 degrees two-theta):
d (Å)	I (rel.)
2.625	100
3.106	41
2.196	28
2.005	17
1.593	14
1.793	11
1.553	11
1.448	10
1.516	9
1.418	9

=====

This entry pairs a crystal structure of Pa3BiSb with its theoretical PXRD pattern. Radiation: λ = 1.5418 Å (Cu Kα). Structure: a structure optimized by DFT (PBE).
Neutral-atom scattering factors, no anomalous dispersion.

Cell and atoms:
Lattice parameters (Å, degrees): 6.0223 25.3785 5.2363 90.00 90.00 90.00
Space group Cmcm (No. 63)
Inequivalent atoms, fractional coordinates:
Pa: 0.0000 0.0000 0.0000 x4
Pa: 0.2471 0.2789 0.2500 x8
Bi: 0.0000 0.1130 0.7500 x4
Sb: 0.0000 0.3312 0.7500 x4

Main lines, most intense first (10 to 90 degrees two-theta):
d (Å)	I (rel.)
5.860	100
2.715	88
2.222	77
1.886	72
2.930	71
2.564	61
6.345	56
2.414	51
2.284	47
4.840	43

=====

This entry pairs a crystal structure of Pa4BiSb5 with its theoretical PXRD pattern. Radiation: λ = 1.5418 Å (Cu Kα). Structure: a structure optimized by DFT (PBE).
Neutral-atom scattering factors, no anomalous dispersion.

Cell and atoms:
Lattice parameters (Å, degrees): 16.2861 5.5957 6.5953 90.00 91.18 90.00
Space group C2/m (No. 12)
Inequivalent atoms, fractional coordinates:
Pa: 0.0016 0.0000 0.2464 x4
Pa: 0.1743 0.5000 0.2445 x4
Bi: 0.0000 0.5000 0.5000 x2
Sb: 0.0000 0.5000 0.0000 x2
Sb: 0.1667 0.0000 0.4917 x4
Sb: 0.1679 0.0000 0.0084 x4

Main lines, most intense first (10 to 90 degrees two-theta):
d (Å)	I (rel.)
2.535	100
2.499	97
2.797	70
2.714	59
1.948	46
1.551	25
4.114	25
1.421	25
1.560	23
5.073	22

=====

This entry pairs a crystal structure of Pa3Bi3Sb2 with its theoretical PXRD pattern. Radiation: λ = 1.5418 Å (Cu Kα). Structure: a structure optimized by DFT (PBE).
Neutral-atom scattering factors, no anomalous dispersion.

Cell and atoms:
Lattice parameters (Å, degrees): 9.2335 9.2335 6.1761 90.00 90.00 120.00
Space group P6_3/mcm (No. 193)
Inequivalent atoms, fractional coordinates:
Pa: 0.0000 0.3955 0.2500 x6
Bi: 0.0000 0.2416 0.7500 x6
Sb: 0.3333 0.6667 0.0000 x4

Main lines, most intense first (10 to 90 degrees two-theta):
d (Å)	I (rel.)
2.715	100
2.567	44
2.665	28
1.701	26
3.088	25
3.022	19
1.420	17
2.087	16
2.162	11
4.617	10

=====

This entry pairs a crystal structure of ScPaBi4 with its theoretical PXRD pattern. Radiation: λ = 1.5418 Å (Cu Kα). Structure: a structure optimized by DFT (PBE).
Neutral-atom scattering factors, no anomalous dispersion.

Cell and atoms:
Lattice parameters (Å, degrees): 8.6835 5.7750 7.6339 90.00 90.20 90.00
Space group P2_1/c (No. 14)
Inequivalent atoms, fractional coordinates:
Sc: 0.0000 0.0000 0.0000 x2
Pa: 0.5000 0.0000 0.5000 x2
Bi: 0.1331 0.0011 0.3712 x4
Bi: 0.3450 0.5006 0.3726 x4

Main lines, most intense first (10 to 90 degrees two-theta):
d (Å)	I (rel.)
3.157	100
2.451	81
3.497	74
2.888	61
2.226	45
2.249	43
1.569	21
1.714	18
2.049	15
1.512	13